Diffraction record for KSc2Pb2. The X-ray powder pattern is simulated, not measured: it uses a crystal structure in Alexandria, relaxed with GGA-PBE and Cu Kα (λ = 1.5418 Å).

Most intense lines, 15° ≤ 2θ ≤ 90°, low angle first:
| d_spacing | 2θ (°) | I/Imax |
| --- | --- | --- |
| 4.613 | 19.2 | 16 |
| 4.126 | 21.5 | 66 |
| 3.343 | 26.7 | 22 |
| 2.918 | 30.6 | 44 |
| 2.598 | 34.5 | 100 |
| 2.238 | 40.3 | 17 |
| 2.198 | 41.1 | 19 |
| 2.175 | 41.5 | 19 |
| 1.860 | 49.0 | 23 |
| 1.525 | 60.7 | 23 |

Unit cell a=9.227 b=9.227 c=3.343 alpha=90.00 beta=90.00 gamma=90.00
Space group P4/mbm (No. 127)
One atom of each set of equivalent atoms:
K: 0.000 0.000 0.000 [2 per cell]
Sc: 0.131 0.369 0.500 [4 per cell]
Pb: 0.162 0.662 0.000 [4 per cell]